Simulated powder XRD pattern
Compound: Na3PrNd2Pb3
Radiation: Cu Kα
Structure: the GGA-PBE geometry in OQMD
No peak broadening, texture or thermal motion is included.

Top 10 peaks for 15° ≤ 2θ ≤ 90°, in order of falling intensity:
2θ = 31.48°, intensity 100.0; 2θ = 34.17°, intensity 81.7; 2θ = 21.17°, intensity 46.4; 2θ = 59.50°, intensity 32.9; 2θ = 47.14°, intensity 32.9; 2θ = 62.04°, intensity 27.8; 2θ = 25.50°, intensity 19.8; 2θ = 61.18°, intensity 15.4; 2θ = 38.45°, intensity 14.7; 2θ = 80.66°, intensity 13.9

```
9
Lattice="5.248 0.000 0.000 -2.624 4.545 0.000 0.000 0.000 10.925" Properties=species:S:1:pos:R:3 pbc="T T T"
Na 0.000 0.000 0.000
Na 2.624 1.515 3.427
Na 2.624 1.515 7.498
Pr 0.000 3.030 5.463
Nd 0.000 3.030 1.807
Nd 0.000 3.030 9.118
Pb 0.000 0.000 3.733
Pb 0.000 0.000 7.192
Pb 2.624 1.515 0.000
```

=====

Simulated powder XRD pattern
Compound: Na3Tb2NdPb3
Radiation: Cu Kα
Structure: the GGA-PBE geometry in OQMD
No peak broadening, texture or thermal motion is included.

Top 10 peaks for 15° ≤ 2θ ≤ 90°, in order of falling intensity:
2θ = 32.00°, intensity 100.0; 2θ = 34.40°, intensity 81.6; 2θ = 21.36°, intensity 41.3; 2θ = 60.12°, intensity 33.4; 2θ = 47.69°, intensity 33.3; 2θ = 63.22°, intensity 27.6; 2θ = 25.83°, intensity 21.7; 2θ = 61.62°, intensity 15.3; 2θ = 81.47°, intensity 14.2; 2θ = 84.22°, intensity 13.4

```
9
Lattice="5.214 0.000 0.000 -2.607 4.515 0.000 0.000 0.000 10.689" Properties=species:S:1:pos:R:3 pbc="T T T"
Na 0.000 0.000 0.000
Na 0.000 3.010 3.339
Na 0.000 3.010 7.350
Tb 2.607 1.505 1.755
Tb 2.607 1.505 8.935
Nd 2.607 1.505 5.345
Pb 0.000 0.000 3.591
Pb 0.000 0.000 7.098
Pb 0.000 3.010 0.000
```

=====

Simulated powder XRD pattern
Compound: NaNd3Pt8
Radiation: Cu Kα
Structure: the GGA-PBE geometry in OQMD
No peak broadening, texture or thermal motion is included.

Top 10 peaks for 15° ≤ 2θ ≤ 90°, in order of falling intensity:
2θ = 38.46°, intensity 100.0; 2θ = 40.24°, intensity 59.1; 2θ = 62.13°, intensity 32.5; 2θ = 68.36°, intensity 30.6; 2θ = 19.81°, intensity 30.1; 2θ = 82.41°, intensity 23.0; 2θ = 46.81°, intensity 14.6; 2θ = 32.63°, intensity 13.4; 2θ = 81.26°, intensity 11.3; 2θ = 51.30°, intensity 8.2

```
12
Lattice="2.745 1.585 8.963 -2.745 1.585 8.963 0.000 -3.169 8.963" Properties=species:S:1:pos:R:3 pbc="T T T"
Na 0.000 0.000 0.000
Nd 0.000 0.000 9.846
Nd 0.000 0.000 13.295
Nd 0.000 0.000 23.623
Pt 0.000 0.000 4.956
Pt 0.000 -1.570 16.145
Pt -1.360 0.785 16.145
Pt -1.367 -0.789 20.657
Pt 0.000 0.000 18.393
Pt 1.360 0.785 16.145
Pt 1.367 -0.789 20.657
Pt 0.000 1.579 20.657
```